Record 1
Starting from DFT lattice parameters and positions (PBE), the powder diffractogram of SnPS3 was calculated for Cu Kα.

Largest 8 diffraction maxima, by angle, 2θ = 10–90°:
two_theta	I_rel
18.03	491
19.83	1000
24.88	798
26.79	331
32.40	399
32.53	706
36.87	650
37.63	346

Crystal structure
```
SnPS3
1.0
6.656 0.000 0.000
0.000 7.685 0.000
-6.593 0.000 9.841
Sn P S
4 4 12
direct
0.000 0.100 0.000
0.000 0.900 0.500
0.550 0.370 0.493
0.550 0.630 0.993
0.679 0.150 0.231
0.679 0.850 0.731
0.932 0.365 0.362
0.932 0.635 0.862
0.104 0.453 0.275
0.104 0.547 0.775
0.158 0.252 0.547
0.158 0.748 0.047
0.448 0.240 0.040
0.448 0.760 0.540
0.527 0.073 0.334
0.527 0.927 0.834
0.706 0.448 0.855
0.706 0.552 0.355
0.899 0.047 0.747
0.899 0.953 0.247
```



Record 2
Starting from DFT lattice parameters and positions (PBE), the powder diffractogram of SnPS3 was calculated for Cu Kα.

Largest 8 diffraction maxima, by angle, 2θ = 10–90°:
two_theta	I_rel
12.93	1000
26.54	136
26.74	689
31.70	935
34.37	217
44.32	255
46.55	338
48.50	149

Crystal structure
```
SnPS3
1.0
3.375 -5.860 0.000
3.375 5.860 0.000
-2.239 0.000 6.845
Sn P S
2 2 6
direct
0.167 0.833 0.000
0.833 0.167 0.000
0.445 0.445 0.835
0.555 0.555 0.165
0.127 0.416 0.747
0.292 0.292 0.250
0.416 0.127 0.747
0.584 0.873 0.253
0.708 0.708 0.750
0.873 0.584 0.253
```



Record 3
Starting from DFT lattice parameters and positions (PBE), the powder diffractogram of SnPS3 was calculated for Cu Kα.

Largest 8 diffraction maxima, by angle, 2θ = 10–90°:
two_theta	I_rel
19.83	546
20.15	743
24.89	1000
31.08	580
32.61	434
33.26	766
36.79	815
37.44	559

Crystal structure
```
SnPS3
1.0
6.631 0.000 0.000
0.000 7.731 0.000
-6.389 0.000 9.451
Sn P S
4 4 12
direct
0.239 0.142 0.277
0.239 0.358 0.777
0.761 0.642 0.223
0.761 0.858 0.723
0.128 0.604 0.071
0.128 0.896 0.571
0.872 0.104 0.429
0.872 0.396 0.929
0.089 0.204 0.936
0.089 0.296 0.436
0.294 0.684 0.974
0.294 0.816 0.474
0.363 0.003 0.764
0.363 0.497 0.264
0.637 0.503 0.736
0.637 0.997 0.236
0.706 0.184 0.526
0.706 0.316 0.026
0.911 0.704 0.564
0.911 0.796 0.064
```



Record 4
Starting from DFT lattice parameters and positions (PBE), the powder diffractogram of TlSnPS4 was calculated for Cu Kα.

Largest 8 diffraction maxima, by angle, 2θ = 10–90°:
two_theta	I_rel
19.53	1000
24.89	852
26.22	470
29.63	785
32.49	552
33.91	575
39.65	414
45.13	324

Crystal structure
```
TlSnPS4
1.0
12.228 0.000 0.000
0.000 8.958 0.000
0.000 0.000 6.798
Tl Sn P S
4 4 4 16
direct
0.110 0.132 0.000
0.390 0.632 0.500
0.610 0.368 0.000
0.890 0.868 0.500
0.129 0.615 0.050
0.371 0.115 0.550
0.629 0.885 0.050
0.871 0.385 0.550
0.155 0.369 0.479
0.345 0.869 0.979
0.655 0.131 0.479
0.845 0.631 0.979
0.043 0.197 0.496
0.070 0.569 0.454
0.244 0.844 0.744
0.249 0.867 0.227
0.251 0.367 0.727
0.256 0.344 0.244
0.430 0.069 0.954
0.457 0.697 0.996
0.543 0.303 0.496
0.570 0.931 0.454
0.744 0.656 0.744
0.749 0.633 0.227
0.751 0.133 0.727
0.756 0.156 0.244
0.930 0.431 0.954
0.957 0.803 0.996
```